No. 1
Structure and theoretical powder diffractogram of YLuO3 (a crystal structure in Alexandria, relaxed with GGA-PBE; CuKα).

Top 10 peaks for 5 to 70 degrees two-theta, by angle:
- 2θ 13.85, rel. 21, hkl 0 0 2
- 2θ 27.91, rel. 49, hkl 0 0 4
- 2θ 28.99, rel. 100, hkl 1 0 1
- 2θ 31.47, rel. 68, hkl 1 0 2
- 2θ 35.26, rel. 32, hkl 1 0 3
- 2θ 45.55, rel. 30, hkl 1 0 5
- 2θ 49.76, rel. 39, hkl 1 1 0
- 2θ 51.67, rel. 23, hkl 1 0 6
- 2θ 58.02, rel. 37, hkl 1 1 4
- 2θ 58.62, rel. 13, hkl 2 0 1

Cell and atoms:
```
data_YLuO3
_cell_length_a 3.6645
_cell_length_b 3.6645
_cell_length_c 12.7865
_cell_angle_alpha 90.00
_cell_angle_beta 90.00
_cell_angle_gamma 120.00
_space_group_name_H-M_alt 'P 63/m m c'
_space_group_IT_number 194
_space_group_name_Hall '-P 6c 2c'
loop_
_atom_site_label
_atom_site_type_symbol
_atom_site_fract_x
_atom_site_fract_y
_atom_site_fract_z
_atom_site_occupancy
Y1 Y 0.0000 0.0000 0.0000 1
Lu1 Lu 0.3333 0.6667 0.2500 1
O1 O 0.0000 0.0000 0.2500 1
O2 O 0.3333 0.6667 0.0793 1
```



No. 2
Structure and theoretical powder diffractogram of Lu4Zr3O12 (a crystal structure in Alexandria, relaxed with GGA-PBE; CuKα).

Top 10 peaks for 5 to 70 degrees two-theta, by angle:
- 2θ 18.28, rel. 14, hkl 1 0 -1
- 2θ 29.37, rel. 51, hkl 0 1 -2
- 2θ 29.62, rel. 47, hkl 1 1 1
- 2θ 30.05, rel. 100, hkl 1 -2 0
- 2θ 34.33, rel. 21, hkl -1 1 2
- 2θ 34.54, rel. 21, hkl 2 -1 1
- 2θ 34.69, rel. 29, hkl 1 2 -1
- 2θ 49.60, rel. 15, hkl 1 -3 2
- 2θ 49.76, rel. 15, hkl 0 3 1
- 2θ 59.34, rel. 17, hkl 0 4 -1

Cell and atoms:
```
data_Lu4Zr3O12
_cell_length_a 6.3004
_cell_length_b 6.3218
_cell_length_c 6.4625
_cell_angle_alpha 99.74
_cell_angle_beta 99.04
_cell_angle_gamma 99.33
_space_group_name_H-M_alt 'P -1'
_space_group_IT_number 2
_space_group_name_Hall '-P 1'
loop_
_atom_site_label
_atom_site_type_symbol
_atom_site_fract_x
_atom_site_fract_y
_atom_site_fract_z
_atom_site_occupancy
Lu1 Lu 0.1102 0.3025 0.1354 1
Lu2 Lu 0.1909 0.8643 0.3898 1
Zr1 Zr 0.3499 0.3945 0.6739 1
Zr2 Zr 0.5000 0.0000 0.0000 1
O1 O 0.0817 0.1850 0.4293 1
O2 O 0.0832 0.4189 0.8225 1
O3 O 0.1819 0.9277 0.0607 1
O4 O 0.3237 0.5724 0.4245 1
O5 O 0.4174 0.0773 0.6863 1
O6 O 0.4630 0.3231 0.1077 1
```